Starting from a GGA+U-relaxed structure, the PXRD pattern of Li3Ni5O10 was simulated for a wavelength of 1.5418 Å.
Kinematic intensities with the Lorentz-polarization factor, no thermal factor.

The 10 most intense peaks (2θ from 15° to 90°), by intensity:
| two_theta | d/Å | I/Imax | index |
| --- | --- | --- | --- |
| 18.68 | 4.751 | 100 | 0 1 0 |
| 44.05 | 2.056 | 34 | 1 1 -2 |
| 44.50 | 2.036 | 34 | 1 2 3 |
| 44.79 | 2.023 | 33 | 2 -1 1 |
| 36.57 | 2.457 | 21 | 2 0 1 |
| 23.02 | 3.864 | 19 | 1 1 1 |
| 65.10 | 1.433 | 18 | 3 1 4 |
| 30.84 | 2.900 | 14 | 1 -1 1 |
| 27.56 | 3.237 | 14 | 0 1 2 |
| 62.99 | 1.476 | 12 | 2 3 1 |

```
data_Li3Ni5O10
_space_group_name_H-M_alt 'P -1'
_space_group_IT_number 2
_space_group_name_Hall '-P 1'
_cell_length_a 5.022
_cell_length_b 5.056
_cell_length_c 7.492
_cell_angle_alpha 70.98
_cell_angle_beta 71.28
_cell_angle_gamma 79.02
loop_
_atom_site_label
_atom_site_type_symbol
_atom_site_fract_x
_atom_site_fract_y
_atom_site_fract_z
_atom_site_occupancy
Li1 Li 0.000 0.000 0.000 1
Li2 Li 0.286 0.500 0.916 1
Ni1 Ni 0.189 0.011 0.608 1
Ni2 Ni 0.398 0.999 0.197 1
Ni3 Ni 0.500 0.500 0.500 1
O1 O 0.055 0.205 0.165 1
O2 O 0.185 0.781 0.438 1
O3 O 0.290 0.245 0.736 1
O4 O 0.382 0.788 0.036 1
O5 O 0.455 0.218 0.348 1
```